(1)
Computed powder diffractogram of Ho2ThPaN4 for Cu Kα X-rays, from a structure optimized by DFT (GGA-PBE).

Atomic structure:
```
Ho2ThPaN4
1.0
6.083 0.000 0.000
0.000 3.518 0.000
-2.031 0.000 5.766
Ho Th Pa N
2 1 1 4
Cartesian
0.000 0.000 0.000
-1.016 1.759 2.883
2.026 0.000 2.883
3.041 1.759 0.000
1.041 1.759 1.353
-0.011 0.000 4.402
4.063 0.000 1.364
3.011 1.759 4.413
```

The 10 most intense peaks (2θ from 5° to 70°), by angle:
31.02 deg, I = 338; 31.15 deg, I = 1000; 36.08 deg, I = 904; 51.87 deg, I = 319; 52.04 deg, I = 317; 61.67 deg, I = 154; 61.84 deg, I = 407; 64.66 deg, I = 54; 64.92 deg, I = 108; 65.03 deg, I = 54

(2)
Computed powder diffractogram of Al4AgSe7 for Cu Kα X-rays, from a structure optimized by DFT (GGA-PBE).

Atomic structure:
```
Al4AgSe7
1.0
14.922 0.000 0.000
0.000 7.033 0.000
0.000 0.000 6.574
Al Ag Se
8 2 14
Cartesian
1.911 1.222 0.000
3.597 2.317 3.166
3.864 4.717 6.453
5.550 5.811 3.287
9.372 5.811 3.287
11.059 4.717 6.453
11.325 2.317 3.166
13.011 1.222 0.000
0.000 4.656 5.982
7.461 2.378 2.694
0.000 2.139 5.460
1.657 1.165 2.373
2.109 6.065 5.524
3.597 4.623 2.343
3.864 2.410 5.630
5.352 0.968 2.237
5.804 5.868 5.660
7.461 4.894 2.173
9.118 5.868 5.660
9.570 0.968 2.237
11.059 2.410 5.630
11.325 4.623 2.343
12.813 6.065 5.524
13.265 1.165 2.373
```

The 10 most intense peaks (2θ from 5° to 70°), by angle:
14.72 deg, I = 388; 25.33 deg, I = 192; 25.79 deg, I = 171; 27.10 deg, I = 1000; 28.79 deg, I = 304; 30.34 deg, I = 412; 38.69 deg, I = 225; 45.71 deg, I = 333; 49.98 deg, I = 248; 53.96 deg, I = 292

(3)
Computed powder diffractogram of DyAlGe2O7 for Cu Kα X-rays, from a structure optimized by DFT (GGA-PBE).

Atomic structure:
```
DyAlGe2O7
1.0
7.242 0.000 0.000
0.000 6.540 0.000
-6.002 0.000 11.203
Dy Al Ge O
4 4 8 28
Cartesian
-1.060 0.958 5.269
-4.061 2.312 10.870
5.300 4.228 0.333
2.299 5.582 5.934
-2.848 0.640 8.153
0.153 2.630 2.552
1.087 3.910 8.651
4.088 5.900 3.049
-1.162 4.305 5.076
-4.163 5.505 10.677
-2.134 3.845 8.102
0.868 5.966 2.500
0.372 0.575 8.702
3.373 2.696 3.101
5.403 1.035 0.526
2.401 2.235 6.127
-5.411 4.269 10.291
-2.409 5.541 4.690
-0.009 4.488 2.117
-3.010 5.322 7.719
-3.682 0.361 9.727
-0.681 2.909 4.126
-0.062 0.785 3.121
-3.063 2.485 8.723
1.390 0.018 0.852
-1.612 3.252 6.453
-2.878 4.381 10.932
0.124 5.429 5.330
-1.096 0.762 7.723
1.906 2.508 2.122
-0.666 4.032 9.081
2.335 5.778 3.480
1.116 1.111 5.872
4.117 2.159 0.271
2.851 3.288 4.749
-0.150 6.522 10.351
4.303 4.055 2.480
1.302 5.755 8.081
1.921 3.631 7.077
4.922 6.179 1.475
4.249 1.218 3.484
1.248 2.052 9.085
3.649 0.999 6.513
6.650 2.271 0.912
```

The 10 most intense peaks (2θ from 5° to 70°), by angle:
15.82 deg, I = 380; 24.74 deg, I = 270; 27.96 deg, I = 1000; 28.10 deg, I = 602; 30.01 deg, I = 963; 30.98 deg, I = 302; 31.96 deg, I = 329; 33.44 deg, I = 364; 36.52 deg, I = 283; 48.40 deg, I = 360

(4)
Computed powder diffractogram of Mg6CuBiO8 for Cu Kα X-rays, from a structure optimized by DFT (GGA-PBE).

Atomic structure:
```
Mg6CuBiO8
1.0
4.463 0.000 0.000
0.000 4.463 0.000
0.000 0.000 9.032
Mg Cu Bi O
6 1 1 8
Cartesian
0.000 0.000 0.000
0.000 0.000 4.516
0.000 2.232 2.020
0.000 2.232 7.013
2.232 0.000 2.020
2.232 0.000 7.013
2.232 2.232 0.000
2.232 2.232 4.516
0.000 0.000 2.258
0.000 0.000 6.774
0.000 2.232 0.000
0.000 2.232 4.516
2.232 0.000 0.000
2.232 0.000 4.516
2.232 2.232 2.187
2.232 2.232 6.845
```

The 10 most intense peaks (2θ from 5° to 70°), by angle:
9.79 deg, I = 576; 19.66 deg, I = 515; 19.89 deg, I = 950; 22.22 deg, I = 528; 28.11 deg, I = 844; 28.28 deg, I = 415; 34.68 deg, I = 833; 39.93 deg, I = 478; 40.42 deg, I = 1000; 58.12 deg, I = 582

(5)
Computed powder diffractogram of Cd2Ga4Pb for Cu Kα X-rays, from a structure optimized by DFT (GGA-PBE).

Atomic structure:
```
Cd2Ga4Pb
1.0
8.414 -3.169 0.000
8.414 3.169 0.000
-0.293 0.000 5.911
Cd Ga Pb
4 8 2
Cartesian
3.134 0.620 1.027
2.987 -0.620 3.983
13.548 0.620 1.928
13.401 -0.620 4.883
7.057 1.831 1.330
9.625 1.831 1.625
5.525 0.257 2.900
5.379 -0.257 5.856
11.157 0.257 0.055
11.010 -0.257 3.010
6.910 -1.831 4.285
9.478 -1.831 4.580
8.194 1.261 4.433
8.341 -1.261 1.478
```

The 10 most intense peaks (2θ from 5° to 70°), by angle:
30.14 deg, I = 835; 30.24 deg, I = 361; 31.95 deg, I = 370; 32.61 deg, I = 359; 33.16 deg, I = 753; 33.57 deg, I = 1000; 34.38 deg, I = 904; 36.29 deg, I = 489; 37.88 deg, I = 509; 41.79 deg, I = 379

(6)
Computed powder diffractogram of DyHoCdGa for Cu Kα X-rays, from a structure optimized by DFT (GGA-PBE).

Atomic structure:
```
DyHoCdGa
1.0
7.302 0.000 0.000
0.000 7.302 0.000
0.000 0.000 7.302
Dy Ho Cd Ga
4 4 4 4
Cartesian
0.000 0.000 0.000
0.000 3.651 3.651
3.651 0.000 3.651
3.651 3.651 0.000
0.000 0.000 3.651
0.000 3.651 0.000
3.651 0.000 0.000
3.651 3.651 3.651
1.825 1.825 5.476
1.825 5.476 1.825
5.476 1.825 1.825
5.476 5.476 5.476
1.825 1.825 1.825
1.825 5.476 5.476
5.476 1.825 5.476
5.476 5.476 1.825
```

The 8 most intense peaks (2θ from 5° to 70°), by angle:
21.07 deg, I = 16; 24.38 deg, I = 84; 34.75 deg, I = 1000; 40.99 deg, I = 8; 42.91 deg, I = 26; 49.96 deg, I = 178; 56.35 deg, I = 37; 62.29 deg, I = 362

(7)
Computed powder diffractogram of LaPuGeRh for Cu Kα X-rays, from a structure optimized by DFT (GGA-PBE).

Atomic structure:
```
LaPuGeRh
1.0
7.193 0.000 0.000
0.000 7.193 0.000
0.000 0.000 7.193
La Pu Ge Rh
4 4 4 4
Cartesian
0.000 0.000 0.000
0.000 3.596 3.596
3.596 0.000 3.596
3.596 3.596 0.000
0.000 0.000 3.596
0.000 3.596 0.000
3.596 0.000 0.000
3.596 3.596 3.596
1.798 1.798 1.798
1.798 5.394 5.394
5.394 1.798 5.394
5.394 5.394 1.798
1.798 1.798 5.394
1.798 5.394 1.798
5.394 1.798 1.798
5.394 5.394 5.394
```

The 10 most intense peaks (2θ from 5° to 70°), by angle:
21.40 deg, I = 75; 24.76 deg, I = 141; 35.29 deg, I = 1000; 41.65 deg, I = 44; 43.59 deg, I = 45; 50.77 deg, I = 179; 55.70 deg, I = 20; 57.28 deg, I = 62; 63.35 deg, I = 368; 67.69 deg, I = 15

(8)
Computed powder diffractogram of SnSbBrO2 for Cu Kα X-rays, from a structure optimized by DFT (GGA-PBE).

Atomic structure:
```
SnSbBrO2
1.0
7.269 0.000 0.000
0.000 4.136 0.000
-1.992 0.000 7.797
Sn Sb Br O
2 2 2 4
Cartesian
-0.256 1.034 2.530
5.532 3.102 5.267
1.861 3.102 5.048
3.415 1.034 2.749
-0.305 1.034 6.885
5.581 3.102 0.912
0.077 3.102 4.044
2.147 1.034 4.387
3.130 3.102 3.410
5.200 1.034 3.753
```

The 10 most intense peaks (2θ from 5° to 70°), by angle:
11.35 deg, I = 687; 18.96 deg, I = 220; 24.36 deg, I = 484; 29.68 deg, I = 556; 30.33 deg, I = 442; 31.54 deg, I = 1000; 33.22 deg, I = 489; 33.42 deg, I = 366; 43.77 deg, I = 354; 52.59 deg, I = 289

(9)
Computed powder diffractogram of Ag2RhPbCl8 for Cu Kα X-rays, from a structure optimized by DFT (GGA-PBE).

Atomic structure:
```
Ag2RhPbCl8
1.0
6.179 0.000 0.000
-0.074 6.310 0.000
-0.679 -0.458 8.014
Ag Rh Pb Cl
2 1 1 8
Cartesian
0.148 0.140 2.033
5.277 5.712 5.982
2.713 2.926 4.007
3.052 3.155 0.000
0.610 0.524 7.750
1.257 1.053 4.059
1.428 3.924 2.283
1.362 3.982 5.643
4.064 1.870 2.371
3.998 1.928 5.731
4.169 4.799 3.955
4.816 5.328 0.264
```

The 10 most intense peaks (2θ from 5° to 70°), by angle:
20.00 deg, I = 1000; 20.34 deg, I = 785; 25.47 deg, I = 427; 25.66 deg, I = 314; 27.57 deg, I = 298; 38.41 deg, I = 282; 40.40 deg, I = 199; 40.64 deg, I = 201; 41.35 deg, I = 204; 45.26 deg, I = 229

(10)
Computed powder diffractogram of Si for Cu Kα X-rays, from a structure optimized by DFT (GGA-PBE).

Atomic structure:
```
Si
1.0
10.829 0.000 0.000
0.000 10.829 0.000
0.000 0.000 3.947
Si
16
Cartesian
1.190 4.225 0.000
1.190 6.604 0.000
1.224 2.903 1.974
1.224 7.927 1.974
2.903 1.224 1.974
2.903 9.605 1.974
4.225 1.190 0.000
4.225 9.639 0.000
6.604 1.190 0.000
6.604 9.639 0.000
7.927 1.224 1.974
7.927 9.605 1.974
9.605 2.903 1.974
9.605 7.927 1.974
9.639 4.225 0.000
9.639 6.604 0.000
```

The 10 most intense peaks (2θ from 5° to 70°), by angle:
8.16 deg, I = 483; 11.56 deg, I = 1000; 18.32 deg, I = 204; 25.39 deg, I = 156; 26.02 deg, I = 156; 27.97 deg, I = 166; 33.09 deg, I = 130; 40.40 deg, I = 128; 48.69 deg, I = 140; 53.17 deg, I = 202

(11)
Computed powder diffractogram of NaIn7Pb4 for Cu Kα X-rays, from a structure optimized by DFT (GGA-PBE).

Atomic structure:
```
NaIn7Pb4
1.0
5.645 0.000 0.000
0.012 7.122 0.000
1.413 1.873 8.581
Na In Pb
1 7 4
Cartesian
0.000 0.000 0.000
0.006 3.561 0.000
0.480 1.871 2.852
4.225 3.800 8.543
3.753 5.448 5.662
3.316 3.546 2.919
2.844 5.195 0.038
6.590 7.124 5.729
0.498 5.318 2.836
3.763 1.765 5.842
3.306 7.230 2.738
6.571 3.677 5.745
```

The 10 most intense peaks (2θ from 5° to 70°), by angle:
31.27 deg, I = 1000; 32.14 deg, I = 977; 32.33 deg, I = 927; 32.60 deg, I = 885; 34.83 deg, I = 758; 35.09 deg, I = 749; 41.42 deg, I = 499; 49.22 deg, I = 283; 51.32 deg, I = 247; 61.85 deg, I = 268

(12)
Computed powder diffractogram of Cs2Rb6NaPd for Cu Kα X-rays, from a structure optimized by DFT (GGA-PBE).

Atomic structure:
```
Cs2Rb6NaPd
1.0
7.348 -7.369 0.000
7.348 7.369 0.000
-7.333 0.000 7.391
Cs Rb Na Pd
2 6 1 1
Cartesian
7.348 3.702 0.000
7.348 -3.702 0.000
3.687 3.351 3.698
3.695 0.000 0.339
0.356 0.000 3.702
3.679 0.000 7.056
3.687 -3.351 3.698
7.041 0.000 3.694
-3.642 0.000 3.693
3.699 0.000 3.700
```

The 10 most intense peaks (2θ from 5° to 70°), by angle:
10.40 deg, I = 303; 17.02 deg, I = 337; 20.88 deg, I = 1000; 24.12 deg, I = 708; 24.23 deg, I = 350; 34.40 deg, I = 525; 34.47 deg, I = 261; 40.51 deg, I = 147; 40.63 deg, I = 218; 42.50 deg, I = 269